LiCo2OF3: simulated X-ray diffraction stick pattern (a wavelength of 1.5418 Å), based on DFT lattice parameters and positions (PBE+U).
Peak positions follow from Bragg's law for the DFT cell and can differ from measured ones.

Structure:
```
14
Lattice="5.986 0.000 0.000 -2.993 5.184 0.000 0.000 0.000 5.164" Properties=species:S:1:pos:R:3 pbc="T T T"
Li 0.000 3.456 0.134
Li 2.993 1.728 5.030
Co 0.000 0.000 0.000
Co -1.497 2.592 2.582
Co 2.993 0.000 2.582
Co 1.497 2.592 2.582
O 0.000 3.456 3.446
O 2.993 1.728 1.718
F 0.000 1.776 1.134
F -1.455 4.296 1.134
F 1.538 0.888 4.030
F 1.455 4.296 1.134
F 4.449 0.888 4.030
F 2.993 3.409 4.030
```

Top 10 peaks for 2θ = 10–90°, sorted by position:
two_theta  I (rel.)
17.17  26
24.33  100
34.62  59
38.88  55
49.83  95
62.01  28
62.21  12
67.64  9
73.05  9
83.43  17


Li2MnP2O7: simulated X-ray diffraction stick pattern (a wavelength of 1.5418 Å), based on DFT lattice parameters and positions (PBE+U).
Peak positions follow from Bragg's law for the DFT cell and can differ from measured ones.

Structure:
```
24
Lattice="5.126 0.000 0.000 2.560 4.477 0.000 0.008 2.646 13.079" Properties=species:S:1:pos:R:3 pbc="T T T"
Li 1.011 2.047 5.292
Li 3.569 3.755 1.248
Li 4.125 3.368 11.831
Li 6.683 5.077 7.787
Mn 1.280 2.239 0.000
Mn 3.847 3.562 6.539
P 1.478 2.078 8.269
P 4.041 6.368 11.350
P 3.652 0.755 1.729
P 6.216 5.046 4.810
O 2.433 4.913 5.543
O 2.699 6.235 12.085
O 3.577 6.461 9.810
O 2.356 3.324 8.094
O 2.199 3.194 11.730
O 2.773 2.001 1.555
O 2.936 1.871 5.191
O 4.758 5.252 7.888
O 4.921 5.123 11.524
O 5.495 3.929 1.349
O 5.338 3.799 4.985
O 4.117 0.663 3.269
O 4.995 0.888 0.994
O 5.261 2.211 7.536
```

Top 10 peaks for 2θ = 10–90°, sorted by position:
two_theta  I (rel.)
13.54  66
21.83  100
22.04  49
27.26  21
30.18  40
30.69  14
34.79  40
35.67  14
38.17  21
41.77  12


Mn12O7F17: simulated X-ray diffraction stick pattern (a wavelength of 1.5418 Å), based on DFT lattice parameters and positions (PBE+U).
Peak positions follow from Bragg's law for the DFT cell and can differ from measured ones.

Structure:
```
36
Lattice="4.798 0.000 0.000 0.102 5.827 0.000 0.144 0.042 15.765" Properties=species:S:1:pos:R:3 pbc="T T T"
Mn 0.000 0.000 0.000
Mn 0.057 0.076 5.158
Mn 0.179 3.874 7.731
Mn 0.275 3.860 12.979
Mn 2.342 2.877 10.308
Mn 2.331 1.169 7.667
Mn 2.440 2.837 15.564
Mn 2.453 1.078 13.039
Mn 2.397 0.977 2.316
Mn 2.501 2.890 5.026
Mn 4.666 4.052 2.592
Mn 4.940 5.680 10.388
O 1.156 4.102 11.238
O 1.398 2.576 8.626
O 1.503 2.623 13.856
O 1.408 1.232 0.679
O 1.459 1.451 5.945
O 3.783 4.190 4.275
O 3.811 5.556 1.642
F 1.078 4.132 0.924
F 1.256 5.500 8.600
F 1.306 5.513 14.011
F 1.251 5.549 3.417
F 1.327 4.288 5.985
F 1.331 1.196 11.305
F 1.301 2.619 3.260
F 3.477 1.272 9.448
F 3.553 2.625 11.930
F 3.497 2.680 1.444
F 3.516 1.337 4.023
F 3.679 2.645 6.722
F 3.738 1.288 14.636
F 3.750 4.212 9.426
F 3.846 5.497 12.237
F 3.799 5.634 6.930
F 3.908 4.141 14.725
```

Top 10 peaks for 2θ = 10–90°, sorted by position:
two_theta  I (rel.)
23.82  95
24.24  91
29.21  100
29.46  94
29.60  87
29.75  89
35.23  64
40.33  41
51.35  47
51.85  44


CoPO4: simulated X-ray diffraction stick pattern (a wavelength of 1.5418 Å), based on DFT lattice parameters and positions (PBE+U).
Peak positions follow from Bragg's law for the DFT cell and can differ from measured ones.

Structure:
```
36
Lattice="7.441 0.000 0.000 -3.721 6.444 0.000 0.000 0.000 9.373" Properties=species:S:1:pos:R:3 pbc="T T T"
Co -1.173 2.854 0.000
Co -0.663 6.033 0.000
Co 3.058 0.411 4.686
Co 1.836 4.002 0.000
Co 2.548 3.591 4.686
Co 5.556 2.442 4.686
P 0.000 0.000 0.506
P 0.000 0.000 5.192
P 0.000 4.296 2.949
P 0.000 4.296 6.574
P 3.721 2.148 1.887
P 3.721 2.148 7.636
O 0.000 0.000 1.995
O 0.000 0.000 6.681
O -1.356 3.745 3.445
O -0.023 1.455 9.278
O -2.449 5.737 9.278
O -0.824 3.093 6.124
O 1.271 0.707 4.592
O 0.000 4.296 1.353
O 0.000 4.296 8.190
O -0.631 5.611 6.124
O 1.155 3.397 3.445
O 0.201 5.746 3.445
O 3.090 0.833 1.438
O 1.454 4.185 6.124
O 2.365 2.699 8.131
O 3.922 0.698 8.131
O 2.897 3.352 1.438
O 3.721 2.148 3.504
O 3.721 2.148 6.040
O 2.472 5.697 9.278
O 5.175 2.260 1.438
O 3.698 4.990 4.592
O 6.193 0.747 4.592
O 4.876 3.047 8.131
```

Top 10 peaks for 2θ = 10–90°, sorted by position:
two_theta  I (rel.)
13.74  41
18.94  73
23.92  95
27.68  43
30.68  100
31.83  52
33.76  42
38.17  30
41.79  31
47.32  34


Li3VCr4O8: simulated X-ray diffraction stick pattern (a wavelength of 1.5418 Å), based on DFT lattice parameters and positions (PBE+U).
Peak positions follow from Bragg's law for the DFT cell and can differ from measured ones.

Structure:
```
16
Lattice="5.239 -2.973 0.000 5.239 2.973 0.000 -3.254 0.000 5.015" Properties=species:S:1:pos:R:3 pbc="T T T"
Li 0.000 0.000 0.000
Li 0.992 1.487 2.507
Li 0.992 -1.487 2.507
V 3.612 0.000 2.507
Cr -1.627 0.000 2.507
Cr 2.619 1.487 0.000
Cr 2.619 -1.487 0.000
Cr 5.239 0.000 0.000
O 4.322 1.470 1.158
O 1.904 0.000 1.176
O 0.236 0.000 3.910
O 2.902 1.470 3.857
O 4.322 -1.470 1.158
O 6.988 0.000 1.105
O 5.319 0.000 3.839
O 2.902 -1.470 3.857
```

Top 10 peaks for 2θ = 10–90°, sorted by position:
two_theta  I (rel.)
17.69  16
18.01  16
18.21  72
35.09  22
36.49  23
41.08  56
42.92  100
60.17  30
61.65  28
62.47  14


Li2FeNiO4: simulated X-ray diffraction stick pattern (a wavelength of 1.5418 Å), based on DFT lattice parameters and positions (PBE+U).
Peak positions follow from Bragg's law for the DFT cell and can differ from measured ones.

Structure:
```
8
Lattice="4.750 -2.016 0.000 4.750 2.016 0.000 -1.823 0.000 3.753" Properties=species:S:1:pos:R:3 pbc="T T T"
Li 0.000 0.000 0.000
Li 6.574 0.000 0.891
Fe 0.978 0.000 2.797
Ni 3.768 0.000 1.837
O -0.781 0.000 1.940
O 1.963 0.000 0.961
O 2.695 0.000 3.642
O 5.577 0.000 2.729
```

Top 10 peaks for 2θ = 10–90°, sorted by position:
two_theta  I (rel.)
23.73  99
24.41  100
37.48  41
42.30  51
43.37  51
44.95  45
50.39  25
51.46  21
63.43  26
64.24  26


Ba2Co4BrO7: simulated X-ray diffraction stick pattern (a wavelength of 1.5418 Å), based on DFT lattice parameters and positions (PBE+U).
Peak positions follow from Bragg's law for the DFT cell and can differ from measured ones.

Structure:
```
28
Lattice="5.175 -3.001 0.000 5.175 3.001 0.000 -3.431 0.000 15.791" Properties=species:S:1:pos:R:3 pbc="T T T"
Ba -0.004 0.000 3.206
Ba 0.026 -0.019 10.145
Ba 6.894 -0.019 5.645
Ba 6.924 0.000 12.585
Co 0.043 0.004 13.380
Co 3.423 0.000 3.076
Co -0.843 -1.495 15.790
Co 5.175 0.004 0.000
Co 3.497 0.000 12.715
Co 6.877 0.004 2.411
Co 5.175 -2.996 0.000
Co 7.763 -1.495 0.001
Br -0.084 -0.178 6.613
Br 7.004 -0.178 9.177
O 2.582 1.555 3.627
O -1.632 0.005 14.690
O 0.839 1.437 14.670
O 3.439 0.004 1.131
O 6.080 1.437 1.120
O 4.338 1.555 12.163
O 1.679 -0.002 12.139
O 5.241 -0.002 3.652
O 2.586 -1.554 3.637
O 0.840 -1.427 14.672
O 3.480 0.004 14.659
O 8.551 0.005 1.101
O 6.080 -1.427 1.119
O 4.334 -1.554 12.154
```

Top 10 peaks for 2θ = 10–90°, sorted by position:
two_theta  I (rel.)
17.20  37
17.50  26
26.91  26
28.26  44
29.77  46
29.88  100
31.57  60
41.56  44
43.95  47
62.06  25


NaCaMn2P3H2O12: simulated X-ray diffraction stick pattern (a wavelength of 1.5418 Å), based on DFT lattice parameters and positions (PBE+U).
Peak positions follow from Bragg's law for the DFT cell and can differ from measured ones.

Structure:
```
42
Lattice="6.333 -6.287 0.000 6.333 6.287 0.000 -2.904 0.000 6.139" Properties=species:S:1:pos:R:3 pbc="T T T"
Na 4.155 5.726 4.605
Na 5.607 -5.726 1.535
Ca 5.607 2.674 1.535
Ca 4.155 -2.674 4.605
Mn 0.904 2.051 3.925
Mn 2.356 -2.051 0.855
Mn 7.406 2.051 5.284
Mn 8.858 -2.051 2.215
P 2.370 1.314 0.706
P 4.155 2.380 4.605
P 0.918 -1.314 3.776
P 8.844 1.314 2.364
P 5.607 -2.380 1.535
P 7.392 -1.314 5.434
H 4.155 -0.001 1.211
H 2.703 0.001 4.281
H 7.059 -0.001 1.859
H 5.607 0.001 4.929
O 4.028 4.168 0.605
O 1.861 2.149 1.888
O 0.166 0.021 3.656
O 1.618 -0.021 0.587
O 4.185 3.291 3.338
O 3.934 0.988 0.975
O 4.125 3.291 5.871
O 2.886 1.470 4.659
O 7.186 4.168 2.465
O 0.409 -2.149 4.958
O 2.482 -0.988 4.045
O 5.424 1.470 4.550
O 4.338 -1.470 1.589
O 7.280 0.988 2.094
O 9.353 2.149 1.182
O 2.576 -4.168 3.674
O 6.876 -1.470 1.481
O 5.637 -3.291 0.268
O 5.828 -0.988 5.164
O 5.577 -3.291 2.801
O 8.144 0.021 5.553
O 9.596 -0.021 2.483
O 7.901 -2.149 4.251
O 5.734 -4.168 5.535
```

Top 10 peaks for 2θ = 10–90°, sorted by position:
two_theta  I (rel.)
14.09  72
15.48  63
24.37  34
27.60  100
28.68  36
31.71  70
32.39  44
32.49  71
34.30  36
40.78  37


LiZn2Fe4O8: simulated X-ray diffraction stick pattern (a wavelength of 1.5418 Å), based on DFT lattice parameters and positions (PBE+U).
Peak positions follow from Bragg's law for the DFT cell and can differ from measured ones.

Structure:
```
15
Lattice="-2.994 3.065 4.511 2.994 -3.065 4.511 2.994 3.065 -4.511" Properties=species:S:1:pos:R:3 pbc="T T T"
Li 0.000 0.000 0.000
Zn -1.376 3.065 2.759
Zn 1.376 3.065 2.759
Fe 0.000 0.000 2.427
Fe 2.994 1.441 0.824
Fe 2.994 0.000 4.049
Fe 0.000 1.624 5.336
O 2.994 -1.663 3.031
O 2.994 1.352 -1.168
O 1.603 0.000 0.995
O 4.386 0.000 0.995
O 1.579 3.065 0.738
O 1.415 0.000 5.250
O 2.994 1.663 3.031
O 0.000 1.713 3.343
```

Top 10 peaks for 2θ = 10–90°, sorted by position:
two_theta  I (rel.)
28.74  32
33.18  36
33.34  64
34.34  78
34.80  100
35.41  31
42.20  39
55.38  33
59.52  56
61.96  35


FeCl3O6: simulated X-ray diffraction stick pattern (a wavelength of 1.5418 Å), based on DFT lattice parameters and positions (PBE+U).
Peak positions follow from Bragg's law for the DFT cell and can differ from measured ones.

Structure:
```
10
Lattice="5.784 -2.608 0.000 5.784 2.608 0.000 -1.668 0.000 5.979" Properties=species:S:1:pos:R:3 pbc="T T T"
Fe 0.000 0.000 0.000
Cl 0.819 0.000 2.123
Cl 4.950 0.000 2.989
Cl 9.080 0.000 3.856
O 4.287 1.122 0.597
O 2.867 0.000 5.864
O 5.613 1.122 5.382
O 4.287 -1.122 0.597
O 7.032 0.000 0.115
O 5.613 -1.122 5.382
```

Top 10 peaks for 2θ = 10–90°, sorted by position:
two_theta  I (rel.)
14.82  35
15.91  85
22.62  28
29.89  24
30.04  100
34.38  17
37.78  36
39.38  16
47.43  20
50.52  22